Computed X-ray diffraction stick pattern
Compound: Th4SnRh12
Radiation: λ = 1.5418 Å (Cu Kα)
Structure: a cell relaxed with PBE
Peak positions follow from Bragg's law for the DFT cell and can differ from measured ones.

Principal peaks in the range 10° ≤ 2θ ≤ 90°, in order of rising 2θ:
2theta  I_rel
29.59  315
36.45  1000
39.49  95
42.34  614
52.51  85
61.43  355
69.65  109
73.58  295
77.44  104
85.01  96

Cell lengths 7.3943, 7.3943, 7.3943 Å; angles 109.47, 109.47, 109.47 degrees
Fractional coordinates of all 17 atoms:
Th 0.0000 0.0000 0.5000
Th 0.0000 0.5000 0.0000
Th 0.5000 0.0000 0.0000
Th 0.5000 0.5000 0.5000
Sn 0.0000 0.0000 0.0000
Rh 0.0000 0.3004 0.3004
Rh 0.0000 0.6996 0.6996
Rh 0.2500 0.5000 0.7500
Rh 0.2500 0.7500 0.5000
Rh 0.3004 0.0000 0.3004
Rh 0.3004 0.3004 0.0000
Rh 0.5000 0.2500 0.7500
Rh 0.5000 0.7500 0.2500
Rh 0.6996 0.0000 0.6996
Rh 0.6996 0.6996 0.0000
Rh 0.7500 0.2500 0.5000
Rh 0.7500 0.5000 0.2500